For LiVFeP2O8F2, a cell relaxed with PBE+U gives the computed powder XRD pattern in this record (Cu Kα).
Peak positions follow from Bragg's law for the DFT cell and can differ from measured ones.

Largest 12 diffraction maxima, by intensity, 10 to 80 degrees two-theta:
| h k l | 2θ/deg | d [Å] | I (rel.) |
| --- | --- | --- | --- |
| 1 0 0 | 19.9 | 4.452 | 100 |
| 0 1 0 | 20.3 | 4.368 | 65 |
| 1 0 1 | 24.2 | 3.675 | 60 |
| 0 1 2 | 33.4 | 2.686 | 47 |
| 1 -1 1 | 23.1 | 3.851 | 45 |
| 0 1 -2 | 24.7 | 3.610 | 36 |
| 2 -1 0 | 36.6 | 2.454 | 35 |
| -1 1 2 | 31.7 | 2.824 | 34 |
| 1 0 -2 | 26.1 | 3.418 | 27 |
| 0 1 -3 | 32.3 | 2.770 | 24 |
| 1 -1 2 | 28.7 | 3.110 | 23 |
| 2 0 -1 | 39.8 | 2.266 | 22 |

```
data_LiVFeP2O8F2
_chemical_formula_sum 'Li1 V1 Fe1 P2 O8 F2'
_space_group_name_H-M_alt 'P 1'
_space_group_IT_number 1
_space_group_name_Hall 'P 1'
_cell_length_a 4.939
_cell_length_b 4.961
_cell_length_c 8.911
_cell_angle_alpha 103.48
_cell_angle_beta 94.43
_cell_angle_gamma 113.16
loop_
_atom_site_label
_atom_site_type_symbol
_atom_site_fract_x
_atom_site_fract_y
_atom_site_fract_z
Li1 Li 0.000 0.000 0.000
V1 V 0.649 0.024 0.319
Fe1 Fe 0.890 0.331 0.726
P1 P 0.432 0.478 0.520
P2 P 0.713 0.427 0.066
O1 O 0.156 0.167 0.388
O2 O 0.285 0.052 0.254
O3 O 0.297 0.479 0.664
O4 O 0.510 0.762 0.465
O5 O 0.610 0.646 0.164
O6 O 0.695 0.378 0.521
O7 O 0.828 0.251 0.154
O8 O 0.911 0.561 0.955
F1 F 0.410 0.167 0.951
F2 F 0.859 0.980 0.794
```